(1)
Structure and computed powder XRD pattern of SrAc4Pr4 (a crystal structure in Alexandria, relaxed with GGA-PBE; Cu Kα X-rays).
Kinematic intensities with the Lorentz-polarization factor, no thermal factor.

Atomic structure:
```
data_SrAc4Pr4
_chemical_formula_sum 'Sr1 Ac4 Pr4'
_symmetry_space_group_name_H-M 'P 1'
_symmetry_Int_Tables_number 1
_cell_length_a 8.6871
_cell_length_b 8.6871
_cell_length_c 8.6871
_cell_angle_alpha 95.80
_cell_angle_beta 95.80
_cell_angle_gamma 142.94
loop_
_symmetry_equiv_pos_as_xyz
'x,y,z'
loop_
_atom_site_label
_atom_site_type_symbol
_atom_site_fract_x
_atom_site_fract_y
_atom_site_fract_z
Sr1 Sr 0.0000 0.0000 0.0000
Ac1 Ac 0.3278 0.3278 0.6555
Ac2 Ac 0.3278 0.6722 0.0000
Ac3 Ac 0.6722 0.3278 0.0000
Ac4 Ac 0.6722 0.6722 0.3445
Pr1 Pr 0.0000 0.3438 0.3438
Pr2 Pr 0.0000 0.6562 0.6562
Pr3 Pr 0.3438 0.0000 0.3438
Pr4 Pr 0.6562 0.0000 0.6562
```

Top 10 peaks for 5 to 70 degrees two-theta, low angle first:
| Position (°2θ) | d [Å] | intensity |
| --- | --- | --- |
| 15.21 | 5.824 | 4 |
| 17.78 | 4.989 | 5 |
| 28.09 | 3.176 | 100 |
| 32.43 | 2.761 | 18 |
| 32.61 | 2.746 | 34 |
| 46.66 | 1.947 | 25 |
| 46.79 | 1.941 | 12 |
| 55.23 | 1.663 | 16 |
| 55.47 | 1.656 | 29 |
| 58.08 | 1.588 | 13 |



(2)
Structure and computed powder XRD pattern of SrAc8Pr2 (a crystal structure in Alexandria, relaxed with GGA-PBE; Cu Kα X-rays).
Kinematic intensities with the Lorentz-polarization factor, no thermal factor.

Atomic structure:
```
data_SrAc8Pr2
_chemical_formula_sum 'Sr1 Ac8 Pr2'
_symmetry_space_group_name_H-M 'P 1'
_symmetry_Int_Tables_number 1
_cell_length_a 10.2071
_cell_length_b 10.2071
_cell_length_c 10.2071
_cell_angle_alpha 146.26
_cell_angle_beta 121.55
_cell_angle_gamma 69.22
loop_
_symmetry_equiv_pos_as_xyz
'x,y,z'
loop_
_atom_site_label
_atom_site_type_symbol
_atom_site_fract_x
_atom_site_fract_y
_atom_site_fract_z
Sr1 Sr 0.0000 0.0000 0.0000
Ac1 Ac 0.1286 0.8389 0.2898
Ac2 Ac 0.1503 0.6503 0.5000
Ac3 Ac 0.3135 0.5000 0.8135
Ac4 Ac 0.4509 0.1611 0.2898
Ac5 Ac 0.5491 0.8389 0.7102
Ac6 Ac 0.6865 0.5000 0.1865
Ac7 Ac 0.8497 0.3497 0.5000
Ac8 Ac 0.8714 0.1611 0.7102
Pr1 Pr 0.2950 0.2950 0.0000
Pr2 Pr 0.7050 0.7050 0.0000
```

Top 10 peaks for 5 to 70 degrees two-theta, low angle first:
| Position (°2θ) | d [Å] | intensity |
| --- | --- | --- |
| 27.36 | 3.259 | 17 |
| 27.53 | 3.240 | 25 |
| 28.31 | 3.152 | 100 |
| 30.17 | 2.962 | 30 |
| 31.96 | 2.800 | 19 |
| 41.18 | 2.192 | 11 |
| 44.53 | 2.035 | 16 |
| 52.45 | 1.744 | 19 |
| 53.16 | 1.723 | 12 |
| 56.60 | 1.626 | 12 |



(3)
Structure and computed powder XRD pattern of SrAc6Pr4 (a crystal structure in Alexandria, relaxed with GGA-PBE; Cu Kα X-rays).
Kinematic intensities with the Lorentz-polarization factor, no thermal factor.

Atomic structure:
```
data_SrAc6Pr4
_chemical_formula_sum 'Sr1 Ac6 Pr4'
_symmetry_space_group_name_H-M 'P 1'
_symmetry_Int_Tables_number 1
_cell_length_a 10.1303
_cell_length_b 10.1303
_cell_length_c 5.6706
_cell_angle_alpha 90.00
_cell_angle_beta 90.00
_cell_angle_gamma 120.00
loop_
_symmetry_equiv_pos_as_xyz
'x,y,z'
loop_
_atom_site_label
_atom_site_type_symbol
_atom_site_fract_x
_atom_site_fract_y
_atom_site_fract_z
Sr1 Sr 0.0000 0.0000 0.0000
Ac1 Ac 0.2019 0.4039 0.5000
Ac2 Ac 0.2019 0.7981 0.5000
Ac3 Ac 0.5298 0.0597 0.0000
Ac4 Ac 0.5298 0.4702 0.0000
Ac5 Ac 0.5961 0.7981 0.5000
Ac6 Ac 0.9403 0.4702 0.0000
Pr1 Pr 0.3333 0.6667 0.0000
Pr2 Pr 0.4244 0.2122 0.5000
Pr3 Pr 0.7878 0.2122 0.5000
Pr4 Pr 0.7878 0.5756 0.5000
```

Top 10 peaks for 5 to 70 degrees two-theta, low angle first:
| Position (°2θ) | d [Å] | intensity |
| --- | --- | --- |
| 10.08 | 8.773 | 35 |
| 25.68 | 3.470 | 100 |
| 26.89 | 3.316 | 29 |
| 31.25 | 2.862 | 78 |
| 31.55 | 2.835 | 33 |
| 35.44 | 2.533 | 21 |
| 41.92 | 2.155 | 18 |
| 48.18 | 1.889 | 18 |
| 54.76 | 1.676 | 24 |
| 56.01 | 1.642 | 25 |



(4)
Structure and computed powder XRD pattern of SrAc7Pr3 (a crystal structure in Alexandria, relaxed with GGA-PBE; Cu Kα X-rays).
Kinematic intensities with the Lorentz-polarization factor, no thermal factor.

Atomic structure:
```
data_SrAc7Pr3
_chemical_formula_sum 'Sr1 Ac7 Pr3'
_symmetry_space_group_name_H-M 'P 1'
_symmetry_Int_Tables_number 1
_cell_length_a 8.4377
_cell_length_b 8.4377
_cell_length_c 7.1038
_cell_angle_alpha 94.44
_cell_angle_beta 94.44
_cell_angle_gamma 83.09
loop_
_symmetry_equiv_pos_as_xyz
'x,y,z'
loop_
_atom_site_label
_atom_site_type_symbol
_atom_site_fract_x
_atom_site_fract_y
_atom_site_fract_z
Sr1 Sr 0.0000 0.0000 0.0000
Ac1 Ac 0.0000 0.0000 0.5000
Ac2 Ac 0.0807 0.4255 0.7548
Ac3 Ac 0.2709 0.2709 0.2831
Ac4 Ac 0.4255 0.0807 0.7548
Ac5 Ac 0.5745 0.9193 0.2452
Ac6 Ac 0.7291 0.7291 0.7169
Ac7 Ac 0.9193 0.5745 0.2452
Pr1 Pr 0.3349 0.6651 0.5000
Pr2 Pr 0.5000 0.5000 0.0000
Pr3 Pr 0.6651 0.3349 0.5000
```

Top 10 peaks for 5 to 70 degrees two-theta, low angle first:
| Position (°2θ) | d [Å] | intensity |
| --- | --- | --- |
| 14.10 | 6.281 | 23 |
| 27.65 | 3.226 | 83 |
| 28.30 | 3.154 | 100 |
| 28.42 | 3.141 | 58 |
| 30.28 | 2.951 | 47 |
| 33.77 | 2.654 | 65 |
| 45.49 | 1.994 | 28 |
| 46.48 | 1.954 | 23 |
| 48.83 | 1.865 | 20 |
| 57.06 | 1.614 | 26 |



(5)
Structure and computed powder XRD pattern of SrAc2PrTe5 (a crystal structure in Alexandria, relaxed with GGA-PBE; Cu Kα X-rays).
Kinematic intensities with the Lorentz-polarization factor, no thermal factor.

Atomic structure:
```
data_SrAc2PrTe5
_chemical_formula_sum 'Sr1 Ac2 Pr1 Te5'
_symmetry_space_group_name_H-M 'P 1'
_symmetry_Int_Tables_number 1
_cell_length_a 5.7521
_cell_length_b 5.7521
_cell_length_c 12.0832
_cell_angle_alpha 90.00
_cell_angle_beta 90.00
_cell_angle_gamma 90.00
loop_
_symmetry_equiv_pos_as_xyz
'x,y,z'
loop_
_atom_site_label
_atom_site_type_symbol
_atom_site_fract_x
_atom_site_fract_y
_atom_site_fract_z
Sr1 Sr 0.0000 0.0000 0.0000
Ac1 Ac 0.5000 0.5000 0.3154
Ac2 Ac 0.5000 0.5000 0.6846
Pr1 Pr 0.0000 0.0000 0.5000
Te1 Te 0.0000 0.0000 0.2498
Te2 Te 0.0000 0.0000 0.7502
Te3 Te 0.0000 0.5000 0.5000
Te4 Te 0.5000 0.0000 0.5000
Te5 Te 0.5000 0.5000 0.0000
```

Top 10 peaks for 5 to 70 degrees two-theta, low angle first:
| Position (°2θ) | d [Å] | intensity |
| --- | --- | --- |
| 7.32 | 12.083 | 97 |
| 21.85 | 4.067 | 91 |
| 26.42 | 3.374 | 35 |
| 27.03 | 3.299 | 60 |
| 31.10 | 2.876 | 100 |
| 31.25 | 2.862 | 64 |
| 41.66 | 2.168 | 39 |
| 43.44 | 2.083 | 32 |
| 44.55 | 2.034 | 37 |
| 55.43 | 1.658 | 25 |



(6)
Structure and computed powder XRD pattern of Ac2Tb7Pr3 (a crystal structure in Alexandria, relaxed with GGA-PBE; Cu Kα X-rays).
Kinematic intensities with the Lorentz-polarization factor, no thermal factor.

Atomic structure:
```
data_Ac2Tb7Pr3
_chemical_formula_sum 'Ac2 Tb7 Pr3'
_symmetry_space_group_name_H-M 'P 1'
_symmetry_Int_Tables_number 1
_cell_length_a 6.4918
_cell_length_b 3.6391
_cell_length_c 18.0355
_cell_angle_alpha 90.00
_cell_angle_beta 96.64
_cell_angle_gamma 90.00
loop_
_symmetry_equiv_pos_as_xyz
'x,y,z'
loop_
_atom_site_label
_atom_site_type_symbol
_atom_site_fract_x
_atom_site_fract_y
_atom_site_fract_z
Ac1 Ac 0.0522 0.0000 0.1747
Ac2 Ac 0.9478 0.0000 0.8253
Tb1 Tb 0.0000 0.5000 0.5000
Tb2 Tb 0.2274 0.0000 0.6617
Tb3 Tb 0.2583 0.0000 0.0011
Tb4 Tb 0.2761 0.5000 0.3402
Tb5 Tb 0.7239 0.5000 0.6598
Tb6 Tb 0.7417 0.0000 0.9989
Tb7 Tb 0.7726 0.0000 0.3383
Pr1 Pr 0.4566 0.5000 0.8399
Pr2 Pr 0.5000 0.0000 0.5000
Pr3 Pr 0.5434 0.5000 0.1601
```

Top 10 peaks for 5 to 70 degrees two-theta, low angle first:
| Position (°2θ) | d [Å] | intensity |
| --- | --- | --- |
| 28.89 | 3.091 | 25 |
| 29.93 | 2.985 | 100 |
| 30.45 | 2.935 | 62 |
| 33.07 | 2.709 | 33 |
| 33.70 | 2.659 | 38 |
| 36.78 | 2.444 | 18 |
| 48.97 | 1.860 | 21 |
| 50.13 | 1.820 | 14 |
| 51.27 | 1.782 | 14 |
| 59.49 | 1.554 | 29 |